This entry pairs a crystal structure of NdYMg2 with its simulated powder X-ray diffraction pattern. Radiation: Cu Kα, 1.54184 Å. Structure: a DFT-relaxed cell (PBE, the Materials Project).
Neutral-atom scattering factors, no anomalous dispersion.

Cell and atoms:
a b c (Å): 7.6909 7.6909 7.6909
angles (deg): 90.00 90.00 90.00
Space group Fm-3m (No. 225)
Unique sites:
Nd: 0.0000 0.0000 0.0000 (multiplicity 4)
Y: 0.0000 0.0000 0.5000 (multiplicity 4)
Mg: 0.2500 0.2500 0.2500 (multiplicity 8)

The 8 most intense peaks (15° ≤ 2θ ≤ 90°), in order of rising 2θ:
d 3.845, I 50, hkl 2 0 0; d 2.719, I 100, hkl 2 2 0; d 2.220, I 15, hkl 2 2 2; d 1.923, I 18, hkl 4 0 0; d 1.720, I 21, hkl 4 2 0; d 1.570, I 37, hkl 4 2 2; d 1.360, I 11, hkl 4 4 0; d 1.216, I 15, hkl 6 2 0